This entry pairs a crystal structure of Ca8Ti3Mn5O21 with its calculated X-ray powder pattern. Radiation: CuKα. Structure: the PBE+U geometry in the Materials Project.

The 10 most intense peaks (15° ≤ 2θ ≤ 90°), by angle:
two_theta	I (rel.)
22.76	11
32.27	100
32.40	33
46.07	14
46.43	20
46.53	14
57.39	7
57.68	22
57.81	7
67.47	9

Lattice parameters (Å, degrees): 7.8069 7.8232 7.8805 90.00 90.17 90.00
Atoms (fractional coordinates):
Ca (0.0000, 0.2091, 0.0000)
Ca (0.0000, 0.7909, 0.0000)
Ca (0.4492, 0.2156, 0.0387)
Ca (0.4492, 0.7844, 0.0387)
Ca (0.5157, 0.2509, 0.5683)
Ca (0.5157, 0.7491, 0.5683)
Ca (0.9809, 0.2338, 0.5481)
Ca (0.9809, 0.7662, 0.5481)
Ti (0.2462, 0.5000, 0.2791)
Ti (0.7683, 0.5000, 0.8121)
Ti (0.7965, 0.5000, 0.2773)
Mn (0.2302, 0.0000, 0.2799)
Mn (0.2471, 0.0000, 0.7685)
Mn (0.2645, 0.5000, 0.7541)
Mn (0.7379, 0.0000, 0.3006)
Mn (0.7432, 0.0000, 0.7933)
O (0.0122, 0.5000, 0.3619)
O (0.2062, 0.0000, 0.0225)
O (0.2287, 0.2479, 0.2653)
O (0.2287, 0.7521, 0.2653)
O (0.2485, 0.2425, 0.7374)
O (0.2485, 0.7575, 0.7374)
O (0.3395, 0.5000, 0.0540)
O (0.3767, 0.5000, 0.4624)
O (0.4844, 0.0000, 0.2482)
O (0.4914, 0.0000, 0.8235)
O (0.5439, 0.5000, 0.7423)
O (0.6921, 0.0000, 0.5417)
O (0.7136, 0.2996, 0.3511)
O (0.7136, 0.7004, 0.3511)
O (0.7607, 0.2485, 0.7961)
O (0.7607, 0.7515, 0.7961)
O (0.7988, 0.0000, 0.0566)
O (0.8366, 0.5000, 0.0441)
O (0.9793, 0.5000, 0.7052)
O (0.9950, 0.0000, 0.3608)
O (0.9980, 0.0000, 0.7462)

***

This entry pairs a crystal structure of Ca2TiMnO6 with its calculated X-ray powder pattern. Radiation: CuKα. Structure: the PBE+U geometry in the Materials Project.

The 10 most intense peaks (15° ≤ 2θ ≤ 90°), by angle:
two_theta	I (rel.)
23.31	19
32.99	25
33.22	100
33.37	24
47.63	43
47.73	23
59.06	16
59.51	23
59.57	12
69.73	20

Lattice parameters (Å, degrees): 5.3699 5.4306 9.3180 90.00 125.12 90.00
Atoms (fractional coordinates):
Ca (0.2422, 0.0390, 0.2492)
Ca (0.2422, 0.4610, 0.7492)
Ca (0.7578, 0.5390, 0.2508)
Ca (0.7578, 0.9610, 0.7508)
Ti (0.5000, 0.0000, 0.0000)
Ti (0.5000, 0.5000, 0.5000)
Mn (0.0000, 0.0000, 0.5000)
Mn (0.0000, 0.5000, 0.0000)
O (0.1702, 0.2136, 0.9630)
O (0.1702, 0.2864, 0.4630)
O (0.2477, 0.7090, 0.9615)
O (0.2477, 0.7910, 0.4615)
O (0.3194, 0.0168, 0.7475)
O (0.3194, 0.4832, 0.2475)
O (0.6806, 0.5168, 0.7525)
O (0.6806, 0.9832, 0.2525)
O (0.7523, 0.2090, 0.5385)
O (0.7523, 0.2910, 0.0385)
O (0.8298, 0.7136, 0.5370)
O (0.8298, 0.7864, 0.0370)

***

This entry pairs a crystal structure of Ca2TiMnO6 with its calculated X-ray powder pattern. Radiation: CuKα. Structure: the PBE+U geometry in the Materials Project.

The 10 most intense peaks (15° ≤ 2θ ≤ 90°), by angle:
two_theta	I (rel.)
23.48	12
33.09	100
33.45	65
46.97	32
48.03	49
58.88	23
59.57	46
69.44	27
80.10	12
88.86	11

Lattice parameters (Å, degrees): 5.4152 5.4152 5.4152 120.70 120.70 88.79
Atoms (fractional coordinates):
Ca (0.2500, 0.7500, 0.5000)
Ca (0.7500, 0.2500, 0.5000)
Ti (0.0000, 0.0000, 0.0000)
Mn (0.5000, 0.5000, 0.0000)
O (0.1974, 0.3082, 0.5056)
O (0.2528, 0.2528, 0.0000)
O (0.3082, 0.8026, 0.1108)
O (0.6918, 0.1974, 0.8892)
O (0.7472, 0.7472, 0.0000)
O (0.8026, 0.6918, 0.4944)